Starting from a cell relaxed with PBE, the X-ray diffraction stick pattern of RbAl6H20N5F24 was calculated for a wavelength of 1.5418 Å.

Crystal structure
```
56
Lattice="5.338 0.000 0.000 0.093 5.378 0.000 0.141 0.421 18.604" Properties=species:S:1:pos:R:3 pbc="T T T"
Rb 0.000 0.000 0.000
Al 0.988 1.471 9.164
Al 2.295 0.877 15.528
Al 2.660 4.984 2.923
Al 3.612 4.109 8.964
Al 4.965 3.553 15.421
Al 5.390 2.337 3.113
H 0.336 0.567 13.654
H 0.516 4.926 6.576
H 0.729 3.263 6.322
H 1.040 3.938 7.812
H 1.523 2.483 0.552
H 1.628 3.311 12.148
H 2.074 4.282 6.567
H 2.531 1.438 5.736
H 2.702 5.144 4.477
H 2.853 2.270 18.175
H 2.914 3.368 0.426
H 2.907 1.908 1.256
H 3.095 1.604 11.333
H 3.725 1.750 10.963
H 4.299 5.441 12.976
H 4.494 1.707 13.280
H 4.615 4.952 10.642
H 4.794 4.589 4.550
H 5.076 3.235 18.270
H 5.387 0.982 12.097
N 1.084 4.098 6.807
N 2.240 3.709 12.896
N 2.545 2.407 0.434
N 3.332 1.858 6.263
N 4.908 0.804 13.008
F 0.341 2.491 4.752
F 0.944 4.952 15.702
F 0.913 2.266 15.797
F 0.913 1.350 7.475
F 0.944 1.615 10.894
F 1.271 1.068 2.592
F 1.360 3.638 2.666
F 2.115 0.986 13.843
F 2.298 2.879 9.109
F 2.369 5.440 9.273
F 2.455 0.871 17.297
F 2.897 4.985 1.183
F 3.694 4.907 15.452
F 3.653 2.224 15.513
F 3.724 4.449 7.303
F 3.938 4.270 10.927
F 4.048 1.205 2.690
F 4.139 3.695 2.979
F 4.696 3.632 17.306
F 4.940 2.861 9.068
F 5.051 5.481 9.371
F 5.070 3.508 13.719
F 5.246 2.578 0.754
F 5.341 5.330 4.750
```

Most intense lines, 15° ≤ 2θ ≤ 90°, most intense first:
25.67 deg, intensity 100; 47.60 deg, intensity 69; 28.80 deg, intensity 68; 27.68 deg, intensity 64; 38.28 deg, intensity 55; 39.05 deg, intensity 55; 24.12 deg, intensity 52; 23.28 deg, intensity 46; 27.15 deg, intensity 46; 33.57 deg, intensity 45



Starting from a cell relaxed with PBE, the X-ray diffraction stick pattern of Mg3Sb was calculated for a wavelength of 1.5418 Å.

Crystal structure
```
4
Lattice="-2.202 2.202 4.767 2.202 -2.202 4.767 2.202 2.202 -4.767" Properties=species:S:1:pos:R:3 pbc="T T T"
Mg 0.000 0.000 0.000
Mg 2.202 0.000 2.383
Mg 0.000 2.202 2.383
Sb 0.000 0.000 4.767
```

Most intense lines, 15° ≤ 2θ ≤ 90°, most intense first:
34.40 deg, intensity 100; 22.24 deg, intensity 70; 40.99 deg, intensity 31; 18.61 deg, intensity 26; 70.45 deg, intensity 23; 56.94 deg, intensity 23; 34.82 deg, intensity 22; 37.74 deg, intensity 19; 47.12 deg, intensity 19; 28.67 deg, intensity 19



Starting from a cell relaxed with PBE, the X-ray diffraction stick pattern of Ca3GeN was calculated for a wavelength of 1.5418 Å.

Crystal structure
```
5
Lattice="4.824 0.000 0.000 0.000 4.824 0.000 0.000 0.000 4.824" Properties=species:S:1:pos:R:3 pbc="T T T"
Ca 0.000 0.000 2.412
Ca 0.000 2.412 0.000
Ca 2.412 0.000 0.000
Ge 2.412 2.412 2.412
N 0.000 0.000 0.000
```

Most intense lines, 15° ≤ 2θ ≤ 90°, most intense first:
32.14 deg, intensity 100; 37.28 deg, intensity 64; 53.75 deg, intensity 41; 64.02 deg, intensity 37; 26.12 deg, intensity 16; 88.31 deg, intensity 15; 67.23 deg, intensity 13; 46.09 deg, intensity 7; 79.47 deg, intensity 6; 73.45 deg, intensity 3



Starting from a cell relaxed with PBE, the X-ray diffraction stick pattern of Ba3HoRu2O9 was calculated for a wavelength of 1.5418 Å.

Crystal structure
```
30
Lattice="5.955 0.000 0.000 -2.977 5.157 0.000 0.000 0.000 14.576" Properties=species:S:1:pos:R:3 pbc="T T T"
Ba 0.000 0.000 3.644
Ba 0.000 0.000 10.932
Ba 0.000 3.438 1.366
Ba 0.000 3.438 5.922
Ba 2.977 1.719 8.654
Ba 2.977 1.719 13.210
Ho 0.000 0.000 0.000
Ho 0.000 0.000 7.288
Ru 0.000 3.438 9.675
Ru 0.000 3.438 12.188
Ru 2.977 1.719 2.387
Ru 2.977 1.719 4.900
O -1.397 2.632 10.932
O 0.000 1.815 8.564
O 0.000 1.815 13.300
O -1.406 4.250 8.564
O -1.406 4.250 13.300
O 1.572 0.907 1.276
O 1.572 0.907 6.012
O 1.397 2.632 10.932
O 0.000 5.051 10.932
O 2.977 0.106 3.644
O 1.581 2.525 3.644
O 1.406 4.250 8.564
O 1.406 4.250 13.300
O 4.383 0.907 1.276
O 4.383 0.907 6.012
O 2.977 3.342 1.276
O 2.977 3.342 6.012
O 4.374 2.525 3.644
```

Most intense lines, 15° ≤ 2θ ≤ 90°, most intense first:
30.02 deg, intensity 100; 53.30 deg, intensity 32; 42.97 deg, intensity 23; 86.50 deg, intensity 18; 62.38 deg, intensity 15; 25.18 deg, intensity 12; 70.77 deg, intensity 11; 47.06 deg, intensity 10; 39.57 deg, intensity 10; 56.83 deg, intensity 9



Starting from a cell relaxed with PBE, the X-ray diffraction stick pattern of SrAg2I4O8 was calculated for a wavelength of 1.5418 Å.

Crystal structure
```
15
Lattice="-3.944 3.944 4.908 3.944 -3.944 4.908 3.944 3.944 -4.908" Properties=species:S:1:pos:R:3 pbc="T T T"
Sr 0.000 0.000 0.000
Ag 3.944 0.000 0.000
Ag 0.000 3.944 0.000
I 5.840 -1.896 2.454
I 2.048 1.896 2.454
I -1.896 2.048 2.454
I 1.896 5.840 2.454
O 2.105 -0.338 1.469
O 3.606 -1.839 3.439
O 5.783 0.338 1.469
O 0.338 2.105 1.469
O 4.282 1.839 3.439
O 1.839 3.606 3.439
O -0.338 5.783 1.469
O -1.839 4.282 3.439
```

Most intense lines, 15° ≤ 2θ ≤ 90°, most intense first:
29.04 deg, intensity 100; 55.35 deg, intensity 30; 32.09 deg, intensity 28; 49.47 deg, intensity 26; 46.02 deg, intensity 16; 61.34 deg, intensity 11; 79.99 deg, intensity 11; 36.62 deg, intensity 10; 60.20 deg, intensity 10; 87.79 deg, intensity 8



Starting from a cell relaxed with PBE, the X-ray diffraction stick pattern of SmAlGe was calculated for a wavelength of 1.5418 Å.

Crystal structure
```
6
Lattice="-2.113 2.113 7.356 2.113 -2.113 7.356 2.113 2.113 -7.356" Properties=species:S:1:pos:R:3 pbc="T T T"
Sm 0.000 0.000 0.000
Sm 0.000 2.113 3.678
Al 2.113 0.000 4.915
Al 0.000 0.000 8.593
Ge 2.113 0.000 2.480
Ge 0.000 0.000 6.158
```

Most intense lines, 15° ≤ 2θ ≤ 90°, most intense first:
32.34 deg, intensity 100; 37.24 deg, intensity 45; 27.87 deg, intensity 41; 42.80 deg, intensity 34; 58.00 deg, intensity 25; 48.37 deg, intensity 22; 71.79 deg, intensity 20; 66.54 deg, intensity 17; 51.85 deg, intensity 15; 24.20 deg, intensity 15